This entry pairs a crystal structure of Li2VSi6O15 with its computed powder diffraction line list. Radiation: Cu Ka. Structure: a structure optimized by DFT (GGA+U).

Main lines, in order of falling intensity (2θ = 15–90°):
index  2theta  I (rel.)
0 1 1  21.33  100.0
1 -1 0  15.04  63.5
1 -1 1  21.56  52.4
1 1 -2  28.28  50.4
-1 2 1  28.62  33.4
0 1 -2  26.32  24.9

Cell lengths 7.0729, 7.1747, 7.5164 Å; angles 94.32, 109.82, 114.09 degrees
Atoms (fractional coordinates):
Li 0.2493 0.1918 0.4911
Li 0.7507 0.8082 0.5089
V 0.5000 0.0000 0.5000
Si 0.1890 0.8348 0.7485
Si 0.1972 0.4997 0.1904
Si 0.3794 0.1918 0.1177
Si 0.6206 0.8082 0.8823
Si 0.8028 0.5003 0.8096
Si 0.8110 0.1652 0.2515
O 0.0000 0.5000 0.0000
O 0.0780 0.3485 0.3205
O 0.2168 0.0261 0.9043
O 0.2245 0.9186 0.5625
O 0.3319 0.0897 0.2922
O 0.3347 0.3974 0.1176
O 0.3559 0.7339 0.8502
O 0.3834 0.7281 0.3358
O 0.6166 0.2719 0.6642
O 0.6441 0.2661 0.1498
O 0.6653 0.6026 0.8824
O 0.6681 0.9103 0.7078
O 0.7755 0.0814 0.4375
O 0.7832 0.9739 0.0957
O 0.9220 0.6515 0.6795